# Y3Rh
Simulated XRD peak list, Cu Ka. Input: a crystal structure in the Materials Project, relaxed with PBE.
Intensities are scaled so that the largest is 100.

Crystal structure
```
data_Y3Rh
_chemical_formula_sum 'Y12 Rh4'
_symmetry_space_group_name_H-M 'P 1'
_symmetry_Int_Tables_number 1
_cell_length_a 7.242
_cell_length_b 9.527
_cell_length_c 6.304
_cell_angle_alpha 90.00
_cell_angle_beta 90.00
_cell_angle_gamma 90.00
loop_
_symmetry_equiv_pos_as_xyz
'x,y,z'
loop_
_atom_site_label
_atom_site_type_symbol
_atom_site_fract_x
_atom_site_fract_y
_atom_site_fract_z
Y1 Y 0.035 0.250 0.139
Y2 Y 0.179 0.064 0.670
Y3 Y 0.179 0.436 0.670
Y4 Y 0.321 0.564 0.170
Y5 Y 0.321 0.936 0.170
Y6 Y 0.465 0.750 0.639
Y7 Y 0.535 0.250 0.361
Y8 Y 0.679 0.064 0.830
Y9 Y 0.679 0.436 0.830
Y10 Y 0.821 0.564 0.330
Y11 Y 0.821 0.936 0.330
Y12 Y 0.965 0.750 0.861
Rh1 Rh 0.117 0.750 0.444
Rh2 Rh 0.383 0.250 0.944
Rh3 Rh 0.617 0.750 0.056
Rh4 Rh 0.883 0.250 0.556
```

The 10 most intense peaks (10° ≤ 2θ ≤ 90°), by angle:
- 2θ 18.6, intensity 39.6
- 2θ 30.0, intensity 43.8
- 2θ 31.0, intensity 85.4
- 2θ 31.5, intensity 64.6
- 2θ 32.4, intensity 98.1
- 2θ 33.9, intensity 75.0
- 2θ 34.2, intensity 100.0
- 2θ 36.4, intensity 39.5
- 2θ 37.7, intensity 68.6
- 2θ 40.0, intensity 36.6

# YZnRh
Simulated XRD peak list, Cu Ka. Input: a crystal structure in the Materials Project, relaxed with PBE.
Intensities are scaled so that the largest is 100.

Crystal structure
```
data_YZnRh
_chemical_formula_sum 'Y4 Zn4 Rh4'
_symmetry_space_group_name_H-M 'P 1'
_symmetry_Int_Tables_number 1
_cell_length_a 6.970
_cell_length_b 4.110
_cell_length_c 8.058
_cell_angle_alpha 90.00
_cell_angle_beta 90.00
_cell_angle_gamma 90.00
loop_
_symmetry_equiv_pos_as_xyz
'x,y,z'
loop_
_atom_site_label
_atom_site_type_symbol
_atom_site_fract_x
_atom_site_fract_y
_atom_site_fract_z
Y1 Y 0.032 0.250 0.185
Y2 Y 0.468 0.750 0.685
Y3 Y 0.532 0.250 0.315
Y4 Y 0.968 0.750 0.815
Zn1 Zn 0.143 0.250 0.565
Zn2 Zn 0.357 0.750 0.065
Zn3 Zn 0.643 0.250 0.935
Zn4 Zn 0.857 0.750 0.435
Rh1 Rh 0.238 0.750 0.378
Rh2 Rh 0.262 0.250 0.878
Rh3 Rh 0.738 0.750 0.122
Rh4 Rh 0.762 0.250 0.622
```

The 10 most intense peaks (10° ≤ 2θ ≤ 90°), by angle:
- 2θ 25.5, intensity 16.6
- 2θ 33.7, intensity 72.4
- 2θ 35.6, intensity 100.0
- 2θ 35.8, intensity 17.6
- 2θ 40.1, intensity 46.7
- 2θ 42.2, intensity 28.4
- 2θ 44.1, intensity 40.3
- 2θ 45.0, intensity 35.0
- 2θ 64.8, intensity 22.9
- 2θ 75.5, intensity 19.1

# ZrRh
Simulated XRD peak list, Cu Ka. Input: a crystal structure in the Materials Project, relaxed with PBE.
Intensities are scaled so that the largest is 100.

Crystal structure
```
data_ZrRh
_chemical_formula_sum 'Zr4 Rh4'
_symmetry_space_group_name_H-M 'P 1'
_symmetry_Int_Tables_number 1
_cell_length_a 10.044
_cell_length_b 10.044
_cell_length_c 4.410
_cell_angle_alpha 90.00
_cell_angle_beta 90.00
_cell_angle_gamma 160.59
loop_
_symmetry_equiv_pos_as_xyz
'x,y,z'
loop_
_atom_site_label
_atom_site_type_symbol
_atom_site_fract_x
_atom_site_fract_y
_atom_site_fract_z
Zr1 Zr 0.062 0.938 0.750
Zr2 Zr 0.195 0.805 0.250
Zr3 Zr 0.805 0.195 0.750
Zr4 Zr 0.938 0.062 0.250
Rh1 Rh 0.331 0.669 0.250
Rh2 Rh 0.443 0.557 0.750
Rh3 Rh 0.557 0.443 0.250
Rh4 Rh 0.669 0.331 0.750
```

The 10 most intense peaks (10° ≤ 2θ ≤ 90°), by angle:
- 2θ 33.7, intensity 22.8
- 2θ 36.1, intensity 85.4
- 2θ 36.3, intensity 46.8
- 2θ 40.6, intensity 100.0
- 2θ 40.9, intensity 44.9
- 2θ 54.2, intensity 19.5
- 2θ 55.8, intensity 26.2
- 2θ 70.1, intensity 18.6
- 2θ 74.3, intensity 16.1
- 2θ 81.6, intensity 17.5

# ZrRh
Simulated XRD peak list, Cu Ka. Input: a crystal structure in the Materials Project, relaxed with PBE.
Intensities are scaled so that the largest is 100.

Crystal structure
```
data_ZrRh
_chemical_formula_sum 'Zr1 Rh1'
_symmetry_space_group_name_H-M 'P 1'
_symmetry_Int_Tables_number 1
_cell_length_a 3.384
_cell_length_b 3.384
_cell_length_c 3.146
_cell_angle_alpha 90.00
_cell_angle_beta 90.00
_cell_angle_gamma 90.00
loop_
_symmetry_equiv_pos_as_xyz
'x,y,z'
loop_
_atom_site_label
_atom_site_type_symbol
_atom_site_fract_x
_atom_site_fract_y
_atom_site_fract_z
Zr1 Zr 0.000 0.000 0.000
Rh1 Rh 0.500 0.500 0.500
```

The 9 most intense peaks (10° ≤ 2θ ≤ 90°), by angle:
- 2θ 26.3, intensity 0.6
- 2θ 37.6, intensity 55.9
- 2θ 39.1, intensity 100.0
- 2θ 54.2, intensity 18.9
- 2θ 58.7, intensity 7.4
- 2θ 68.8, intensity 36.1
- 2θ 71.8, intensity 15.9
- 2θ 80.2, intensity 5.8
- 2θ 84.0, intensity 10.4

# Zr3Rh5
Simulated XRD peak list, Cu Ka. Input: a crystal structure in the Materials Project, relaxed with PBE.
Intensities are scaled so that the largest is 100.

Crystal structure
```
data_Zr3Rh5
_chemical_formula_sum 'Zr6 Rh10'
_symmetry_space_group_name_H-M 'P 1'
_symmetry_Int_Tables_number 1
_cell_length_a 5.643
_cell_length_b 5.643
_cell_length_c 8.722
_cell_angle_alpha 90.00
_cell_angle_beta 90.00
_cell_angle_gamma 77.45
loop_
_symmetry_equiv_pos_as_xyz
'x,y,z'
loop_
_atom_site_label
_atom_site_type_symbol
_atom_site_fract_x
_atom_site_fract_y
_atom_site_fract_z
Zr1 Zr 0.066 0.934 0.750
Zr2 Zr 0.292 0.292 0.000
Zr3 Zr 0.292 0.292 0.500
Zr4 Zr 0.708 0.708 0.000
Zr5 Zr 0.708 0.708 0.500
Zr6 Zr 0.934 0.066 0.250
Rh1 Rh 0.006 0.525 0.250
Rh2 Rh 0.212 0.788 0.027
Rh3 Rh 0.212 0.788 0.473
Rh4 Rh 0.475 0.994 0.250
Rh5 Rh 0.487 0.513 0.750
Rh6 Rh 0.513 0.487 0.250
Rh7 Rh 0.525 0.006 0.750
Rh8 Rh 0.788 0.212 0.527
Rh9 Rh 0.788 0.212 0.973
Rh10 Rh 0.994 0.475 0.750
```

The 10 most intense peaks (10° ≤ 2θ ≤ 90°), by angle:
- 2θ 38.7, intensity 100.0
- 2θ 39.1, intensity 7.9
- 2θ 39.6, intensity 6.4
- 2θ 41.0, intensity 24.7
- 2θ 41.4, intensity 23.5
- 2θ 51.8, intensity 7.7
- 2θ 59.7, intensity 11.5
- 2θ 73.1, intensity 7.8
- 2θ 73.7, intensity 11.4
- 2θ 78.3, intensity 6.5

# ZrRh
Simulated XRD peak list, Cu Ka. Input: a crystal structure in the Materials Project, relaxed with PBE.
Intensities are scaled so that the largest is 100.

Crystal structure
```
data_ZrRh
_chemical_formula_sum 'Zr1 Rh1'
_symmetry_space_group_name_H-M 'P 1'
_symmetry_Int_Tables_number 1
_cell_length_a 3.308
_cell_length_b 3.308
_cell_length_c 3.308
_cell_angle_alpha 90.00
_cell_angle_beta 90.00
_cell_angle_gamma 90.00
loop_
_symmetry_equiv_pos_as_xyz
'x,y,z'
loop_
_atom_site_label
_atom_site_type_symbol
_atom_site_fract_x
_atom_site_fract_y
_atom_site_fract_z
Zr1 Zr 0.000 0.000 0.000
Rh1 Rh 0.500 0.500 0.500
```

The 5 most intense peaks (10° ≤ 2θ ≤ 90°), by angle:
- 2θ 27.0, intensity 0.5
- 2θ 38.5, intensity 100.0
- 2θ 55.6, intensity 16.8
- 2θ 69.6, intensity 33.4
- 2θ 82.5, intensity 10.4

# ZrRh
Simulated XRD peak list, Cu Ka. Input: a crystal structure in the Materials Project, relaxed with PBE.
Intensities are scaled so that the largest is 100.

Crystal structure
```
data_ZrRh
_chemical_formula_sum 'Zr2 Rh2'
_symmetry_space_group_name_H-M 'P 1'
_symmetry_Int_Tables_number 1
_cell_length_a 4.771
_cell_length_b 3.161
_cell_length_c 4.782
_cell_angle_alpha 90.00
_cell_angle_beta 90.00
_cell_angle_gamma 90.00
loop_
_symmetry_equiv_pos_as_xyz
'x,y,z'
loop_
_atom_site_label
_atom_site_type_symbol
_atom_site_fract_x
_atom_site_fract_y
_atom_site_fract_z
Zr1 Zr 0.250 0.000 0.246
Zr2 Zr 0.750 0.000 0.754
Rh1 Rh 0.250 0.500 0.740
Rh2 Rh 0.750 0.500 0.260
```

The 10 most intense peaks (10° ≤ 2θ ≤ 90°), by angle:
- 2θ 37.7, intensity 55.1
- 2θ 39.0, intensity 100.0
- 2θ 54.3, intensity 18.6
- 2θ 58.4, intensity 7.5
- 2θ 68.8, intensity 17.6
- 2θ 69.0, intensity 17.9
- 2θ 71.6, intensity 15.9
- 2θ 80.3, intensity 2.8
- 2θ 80.5, intensity 2.9
- 2θ 83.8, intensity 10.4

# ZrRh
Simulated XRD peak list, Cu Ka. Input: a crystal structure in the Materials Project, relaxed with PBE.
Intensities are scaled so that the largest is 100.

Crystal structure
```
data_ZrRh
_chemical_formula_sum 'Zr4 Rh4'
_symmetry_space_group_name_H-M 'P 1'
_symmetry_Int_Tables_number 1
_cell_length_a 6.154
_cell_length_b 4.492
_cell_length_c 5.360
_cell_angle_alpha 90.00
_cell_angle_beta 90.00
_cell_angle_gamma 90.00
loop_
_symmetry_equiv_pos_as_xyz
'x,y,z'
loop_
_atom_site_label
_atom_site_type_symbol
_atom_site_fract_x
_atom_site_fract_y
_atom_site_fract_z
Zr1 Zr 0.174 0.250 0.138
Zr2 Zr 0.326 0.750 0.638
Zr3 Zr 0.674 0.250 0.362
Zr4 Zr 0.826 0.750 0.862
Rh1 Rh 0.049 0.250 0.666
Rh2 Rh 0.451 0.750 0.166
Rh3 Rh 0.549 0.250 0.834
Rh4 Rh 0.951 0.750 0.334
```

The 10 most intense peaks (10° ≤ 2θ ≤ 90°), by angle:
- 2θ 29.7, intensity 21.4
- 2θ 35.4, intensity 90.5
- 2θ 36.6, intensity 52.5
- 2θ 39.3, intensity 94.8
- 2θ 40.1, intensity 66.2
- 2θ 41.9, intensity 100.0
- 2θ 55.4, intensity 33.4
- 2θ 62.8, intensity 20.3
- 2θ 69.8, intensity 24.4
- 2θ 77.2, intensity 21.9